[1]
This entry pairs a crystal structure of Mg2Si3 with its theoretical powder diffractogram. Radiation: Cu Kα, 1.54184 Å. Structure: a structure optimized by DFT (PBE).

Structural model:
```
Mg2Si3
1.0
3.6144 0.0000 0.0000
1.6325 5.8053 0.0000
1.5236 2.2959 17.6335
Mg Si
8 12
Direct
0.0000 0.0000 0.0000
0.0129 0.8255 0.2037
0.1312 0.9578 0.8213
0.2503 0.4605 0.0210
0.4327 0.7290 0.4661
0.5347 0.2949 0.6995
0.6075 0.5027 0.3185
0.6972 0.0783 0.5512
0.1333 0.3543 0.4452
0.2401 0.3068 0.2164
0.3273 0.7339 0.6185
0.3935 0.9744 0.3136
0.4516 0.3088 0.8845
0.5964 0.7168 0.0937
0.7180 0.6566 0.9148
0.7408 0.8213 0.7065
0.7815 0.2899 0.1295
0.8111 0.0718 0.3984
0.9170 0.4683 0.7996
0.9873 0.4608 0.5756
```

Top 10 peaks for 2θ from 10° to 90°, in order of falling intensity:
2θ/deg	Rel. int.
37.18	100
37.94	67
33.97	63
50.53	62
34.91	53
39.54	39
36.04	36
35.22	35
40.93	33
46.33	31

=====

[2]
This entry pairs a crystal structure of Mg4Si7 with its theoretical powder diffractogram. Radiation: Cu Kα, 1.54184 Å. Structure: a structure optimized by DFT (PBE).

Structural model:
```
Mg4Si7
1.0
3.9325 0.0000 0.0000
0.0107 7.0100 0.0000
0.0483 2.7848 14.5837
Mg Si
8 14
Direct
0.0000 0.0000 0.0000
0.9998 0.2487 0.7564
0.0010 0.4532 0.0789
0.0025 0.6912 0.8491
0.4936 0.7966 0.3482
0.4994 0.3795 0.2654
0.5008 0.3396 0.9303
0.9798 0.7239 0.5149
0.0006 0.0679 0.2256
0.0122 0.9742 0.6258
0.4763 0.4663 0.6060
0.4954 0.0428 0.4734
0.4994 0.5395 0.7544
0.4999 0.7797 0.1239
0.5006 0.0019 0.8649
0.5012 0.1412 0.1215
0.5012 0.6977 0.9774
0.5094 0.8939 0.7200
0.9726 0.3071 0.5557
0.9958 0.5063 0.3787
0.9981 0.7013 0.2198
0.9987 0.1583 0.3777
```

Top 10 peaks for 2θ from 10° to 90°, in order of falling intensity:
2θ/deg	Rel. int.
33.44	100
46.17	65
36.06	39
36.87	38
38.62	31
38.49	30
38.75	29
40.18	25
35.09	23
23.43	22

=====

[3]
This entry pairs a crystal structure of Mg5Si6 with its theoretical powder diffractogram. Radiation: Cu Kα, 1.54184 Å. Structure: a structure optimized by DFT (PBE).

Structural model:
```
Mg5Si6
1.0
14.6841 -2.0072 0.0000
14.6841 2.0072 0.0000
-0.9032 0.0000 6.7768
Mg Si
10 12
Direct
0.0000 0.0000 0.0000
0.0619 0.0619 0.6525
0.1077 0.1077 0.1823
0.2713 0.2713 0.0942
0.5291 0.5291 0.3315
0.6989 0.6989 0.2533
0.7402 0.7402 0.7482
0.8222 0.8222 0.4191
0.9059 0.9059 0.8184
0.9468 0.9468 0.3971
0.1762 0.1762 0.5459
0.1825 0.1825 0.9237
0.2551 0.2551 0.4712
0.3201 0.3201 0.7345
0.3696 0.3696 0.1922
0.3873 0.3873 0.5457
0.4434 0.4434 0.0870
0.4857 0.4857 0.6919
0.5579 0.5579 0.9461
0.6244 0.6244 0.4936
0.6338 0.6338 0.8602
0.8281 0.8281 0.9916
```

Top 10 peaks for 2θ from 10° to 90°, in order of falling intensity:
2θ/deg	Rel. int.
34.88	100
36.79	68
36.53	62
45.17	59
40.84	28
34.46	26
41.20	24
37.70	22
39.48	19
43.50	18

=====

[4]
This entry pairs a crystal structure of Mg3Si4 with its theoretical powder diffractogram. Radiation: Cu Kα, 1.54184 Å. Structure: a structure optimized by DFT (PBE).

Structural model:
```
Mg3Si4
1.0
5.3412 0.0000 0.0000
-1.1826 6.3177 0.0000
-0.3838 -1.4347 8.1816
Mg Si
6 8
Direct
0.0000 0.0000 0.0000
0.0746 0.6981 0.2831
0.1515 0.9799 0.6276
0.2423 0.5084 0.6196
0.5031 0.7359 0.0319
0.7077 0.2759 0.6898
0.0129 0.5582 0.9527
0.1332 0.1516 0.3447
0.2887 0.3038 0.8828
0.4747 0.4539 0.3053
0.6115 0.8672 0.7300
0.6700 0.3400 0.0572
0.6903 0.1130 0.2594
0.7718 0.6107 0.5358
```

Top 10 peaks for 2θ from 10° to 90°, in order of falling intensity:
2θ/deg	Rel. int.
31.11	100
39.87	87
32.84	85
37.89	56
43.10	55
34.50	53
23.88	49
39.16	48
42.87	48
42.45	47

=====

[5]
This entry pairs a crystal structure of Mg4Si3 with its theoretical powder diffractogram. Radiation: Cu Kα, 1.54184 Å. Structure: a structure optimized by DFT (PBE).

Structural model:
```
Mg4Si3
1.0
5.7901 0.0000 0.0000
-1.2856 6.9408 0.0000
-1.2054 -3.6261 6.4508
Mg Si
8 6
Direct
0.0505 0.2926 0.3517
0.2469 0.9970 0.4846
0.3497 0.5695 0.2183
0.3873 0.1370 0.9421
0.6127 0.8630 0.0579
0.6503 0.4305 0.7817
0.7531 0.0030 0.5154
0.9495 0.7074 0.6483
0.0925 0.7903 0.0535
0.1563 0.3919 0.7883
0.4513 0.7369 0.6413
0.5487 0.2631 0.3587
0.8437 0.6081 0.2117
0.9075 0.2097 0.9465
```

Top 10 peaks for 2θ from 10° to 90°, in order of falling intensity:
2θ/deg	Rel. int.
37.46	100
36.30	54
37.62	48
39.76	34
43.83	33
45.95	28
76.31	10
59.76	10
64.47	9
66.26	9

=====

[6]
This entry pairs a crystal structure of Mg3Si4 with its theoretical powder diffractogram. Radiation: Cu Kα, 1.54184 Å. Structure: a structure optimized by DFT (PBE).

Structural model:
```
Mg3Si4
1.0
6.0356 0.0000 0.0000
-0.8761 6.8274 0.0000
-1.7027 -3.0358 5.9856
Mg Si
6 8
Direct
0.0000 0.0000 0.0000
0.0967 0.8941 0.5475
0.2693 0.4913 0.6366
0.4280 0.3767 0.1887
0.5963 0.8430 0.5448
0.7012 0.6963 0.0852
0.2173 0.7048 0.1050
0.3893 0.1122 0.3965
0.4554 0.9528 0.9303
0.5781 0.2620 0.8151
0.7669 0.1505 0.3285
0.7974 0.5284 0.6580
0.9742 0.4410 0.2177
0.9856 0.2912 0.8173
```

Top 10 peaks for 2θ from 10° to 90°, in order of falling intensity:
2θ/deg	Rel. int.
39.08	100
39.93	88
36.64	87
41.39	81
36.40	68
41.63	56
38.36	32
39.33	31
35.84	25
49.26	22

=====

[7]
This entry pairs a crystal structure of Mg4Si3 with its theoretical powder diffractogram. Radiation: Cu Kα, 1.54184 Å. Structure: a structure optimized by DFT (PBE).

Structural model:
```
Mg4Si3
1.0
5.2831 0.0000 0.0000
2.5475 7.2680 0.0000
2.2565 2.9072 6.8757
Mg Si
8 6
Direct
0.0000 0.0000 0.0000
0.0409 0.5423 0.9303
0.1429 0.5398 0.2814
0.2044 0.1131 0.2548
0.5679 0.7813 0.1314
0.6737 0.3269 0.4187
0.7286 0.8866 0.4299
0.8358 0.4340 0.6899
0.2218 0.1032 0.6144
0.3139 0.6232 0.5499
0.4047 0.2180 0.8216
0.4501 0.7461 0.8129
0.6145 0.3397 0.0770
0.7912 0.9743 0.7253
```

Top 10 peaks for 2θ from 10° to 90°, in order of falling intensity:
2θ/deg	Rel. int.
35.84	100
37.97	63
37.62	61
40.55	54
36.72	53
41.02	41
47.29	23
58.17	17
12.88	15
39.02	12

=====

[8]
This entry pairs a crystal structure of Mg5Si6 with its theoretical powder diffractogram. Radiation: Cu Kα, 1.54184 Å. Structure: a structure optimized by DFT (PBE).

Structural model:
```
Mg5Si6
1.0
5.3287 0.0000 0.0000
-0.5825 5.4739 0.0000
-0.4306 -0.3435 13.7226
Mg Si
10 12
Direct
0.0000 0.0000 0.0000
0.0065 0.7610 0.2115
0.1810 0.6848 0.6640
0.2018 0.2183 0.8166
0.3568 0.4762 0.4579
0.4953 0.7533 0.8835
0.5093 0.8256 0.1032
0.7293 0.9824 0.6945
0.8171 0.2699 0.3339
0.9124 0.8100 0.4592
0.0995 0.5210 0.0256
0.2040 0.1825 0.6215
0.3086 0.0180 0.3447
0.3110 0.3110 0.2066
0.4646 0.2886 0.0096
0.4646 0.9892 0.5126
0.5372 0.6822 0.2880
0.6267 0.4834 0.6927
0.7042 0.2813 0.8578
0.8112 0.2880 0.1358
0.8481 0.3442 0.5404
0.9837 0.6627 0.8484
```

Top 10 peaks for 2θ from 10° to 90°, in order of falling intensity:
2θ/deg	Rel. int.
35.94	100
39.39	93
36.81	59
34.72	58
38.76	57
40.45	51
40.91	50
36.36	45
38.95	45
41.68	37